1.
Calculated X-ray powder pattern
Compound: K2NaCoC6N6
Radiation: λ = 1.5418 Å (Cu Kα)
Structure: a crystal structure in OQMD, relaxed with GGA-PBE

Crystal structure
Cell: 6.9453 7.4552 12.2391 Å, 90.00 123.83 90.00°
Atoms (fractional coordinates):
K: 0.2216 0.0789 0.2476
K: 0.2216 0.4211 0.7476
K: 0.7784 0.5789 0.2524
K: 0.7784 0.9211 0.7524
Na: 0.0000 0.0000 0.5000
Na: 0.0000 0.5000 0.0000
Co: 0.5000 0.0000 0.0000
Co: 0.5000 0.5000 0.5000
C: 0.2409 0.1309 0.9622
C: 0.2409 0.3691 0.4622
C: 0.3258 0.7103 0.4525
C: 0.3258 0.7897 0.9525
C: 0.4126 0.0273 0.8268
C: 0.4126 0.4727 0.3268
C: 0.5874 0.5273 0.6732
C: 0.5874 0.9727 0.1732
C: 0.6742 0.2103 0.0475
C: 0.6742 0.2897 0.5475
C: 0.7591 0.6309 0.5378
C: 0.7591 0.8691 0.0378
N: 0.0747 0.2119 0.9355
N: 0.0747 0.2881 0.4355
N: 0.2128 0.6588 0.9216
N: 0.2128 0.8412 0.4216
N: 0.3568 0.0484 0.7177
N: 0.3568 0.4516 0.2177
N: 0.6432 0.5484 0.7823
N: 0.6432 0.9516 0.2823
N: 0.7872 0.1588 0.5784
N: 0.7872 0.3412 0.0784
N: 0.9253 0.7119 0.5645
N: 0.9253 0.7881 0.0645

The 10 most intense peaks (10° ≤ 2θ ≤ 90°), in order of falling intensity:
d (Å), intensity
3.611, 1000
3.577, 965
2.541, 883
6.012, 710
5.082, 494
3.017, 445
3.728, 434
2.281, 430
5.700, 390
3.472, 362

2.
Calculated X-ray powder pattern
Compound: Hf4Ni3W2N3
Radiation: λ = 1.5418 Å (Cu Kα)
Structure: a crystal structure in OQMD, relaxed with GGA-PBE

Crystal structure
Cell: 5.4259 5.4259 13.4114 Å, 102.26 102.26 59.73°
Atoms (fractional coordinates):
Hf: 0.0187 0.2072 0.0935
Hf: 0.1437 0.3051 0.4066
Hf: 0.2072 0.0187 0.5935
Hf: 0.3051 0.1437 0.9066
Hf: 0.6949 0.8563 0.0934
Hf: 0.7928 0.9813 0.4065
Hf: 0.8563 0.6949 0.5934
Hf: 0.9813 0.7928 0.9065
Ni: 0.0052 0.9948 0.2500
Ni: 0.1720 0.4135 0.7485
Ni: 0.4135 0.1720 0.2485
Ni: 0.5865 0.8280 0.7515
Ni: 0.8280 0.5865 0.2515
Ni: 0.9948 0.0052 0.7500
W: 0.3839 0.5465 0.1467
W: 0.4535 0.6161 0.3533
W: 0.5465 0.3839 0.6467
W: 0.6161 0.4535 0.8533
N: 0.0000 0.5000 0.0000
N: 0.1628 0.6682 0.5004
N: 0.3318 0.8372 0.9996
N: 0.5000 0.0000 0.5000
N: 0.6682 0.1628 0.0004
N: 0.8372 0.3318 0.4996

The 10 most intense peaks (10° ≤ 2θ ≤ 90°), in order of falling intensity:
d (Å), intensity
2.291, 1000
2.310, 483
2.648, 391
2.713, 357
1.562, 285
3.251, 278
2.661, 243
2.702, 158
1.568, 143
2.166, 143

3.
Calculated X-ray powder pattern
Compound: PrGdSi2
Radiation: λ = 1.5418 Å (Cu Kα)
Structure: a crystal structure in OQMD, relaxed with GGA-PBE

Crystal structure
Cell: 3.9167 8.1771 5.8670 Å, 90.00 90.00 90.00°
Atoms (fractional coordinates):
Pr: 0.0000 0.0716 0.0000
Pr: 0.5000 0.9284 0.5000
Gd: 0.0000 0.5693 0.7284
Gd: 0.5000 0.4307 0.2284
Si: 0.0000 0.2218 0.4888
Si: 0.0000 0.7063 0.2363
Si: 0.5000 0.2937 0.7363
Si: 0.5000 0.7782 0.9888

The 10 most intense peaks (10° ≤ 2θ ≤ 90°), in order of falling intensity:
d (Å), intensity
3.026, 1000
2.761, 816
2.828, 729
2.472, 477
2.548, 430
2.257, 390
3.257, 386
1.779, 339
1.597, 314
3.354, 311

4.
Calculated X-ray powder pattern
Compound: Gd4Hf3As4
Radiation: λ = 1.5418 Å (Cu Kα)
Structure: a crystal structure in OQMD, relaxed with GGA-PBE

Crystal structure
Cell: 7.5150 3.9014 8.8728 Å, 90.00 99.62 90.00°
Atoms (fractional coordinates):
Gd: 0.0000 0.0000 0.0000
Gd: 0.0478 0.5000 0.4392
Gd: 0.4261 0.0000 0.5758
Gd: 0.7446 0.5000 0.1318
Hf: 0.3090 0.5000 0.8660
Hf: 0.4533 0.0000 0.1982
Hf: 0.7728 0.5000 0.7382
As: 0.0649 0.0000 0.6922
As: 0.2130 0.5000 0.1614
As: 0.5859 0.0000 0.9018
As: 0.6385 0.5000 0.4258

The 10 most intense peaks (10° ≤ 2θ ≤ 90°), in order of falling intensity:
d (Å), intensity
2.686, 1000
2.320, 764
2.485, 725
2.336, 528
1.951, 516
2.424, 451
2.571, 407
2.616, 383
3.129, 344
2.819, 333

5.
Calculated X-ray powder pattern
Compound: Sc4Ni3W2N3
Radiation: λ = 1.5418 Å (Cu Kα)
Structure: a crystal structure in OQMD, relaxed with GGA-PBE

Crystal structure
Cell: 5.2900 5.2900 13.2040 Å, 101.81 101.81 59.32°
Atoms (fractional coordinates):
Sc: 0.0264 0.2002 0.0901
Sc: 0.1407 0.3032 0.4095
Sc: 0.2002 0.0264 0.5901
Sc: 0.3032 0.1407 0.9095
Sc: 0.6968 0.8593 0.0905
Sc: 0.7998 0.9736 0.4099
Sc: 0.8593 0.6968 0.5905
Sc: 0.9736 0.7998 0.9099
Ni: 0.0647 0.9353 0.7500
Ni: 0.1215 0.4124 0.7500
Ni: 0.4124 0.1215 0.2500
Ni: 0.5876 0.8785 0.7500
Ni: 0.8785 0.5876 0.2500
Ni: 0.9353 0.0647 0.2500
W: 0.3864 0.5438 0.1359
W: 0.4562 0.6136 0.3641
W: 0.5438 0.3864 0.6359
W: 0.6136 0.4562 0.8641
N: 0.0000 0.5000 0.0000
N: 0.1934 0.6527 0.5008
N: 0.3473 0.8066 0.9992
N: 0.5000 0.0000 0.5000
N: 0.6527 0.1934 0.0008
N: 0.8066 0.3473 0.4992

The 10 most intense peaks (10° ≤ 2θ ≤ 90°), in order of falling intensity:
d (Å), intensity
2.233, 1000
4.517, 907
2.253, 780
2.590, 726
2.246, 669
2.480, 662
2.271, 641
2.356, 631
2.776, 535
2.028, 520

6.
Calculated X-ray powder pattern
Compound: InReAu3Se4
Radiation: λ = 1.5418 Å (Cu Kα)
Structure: a crystal structure in OQMD, relaxed with GGA-PBE

Crystal structure
Cell: 6.2882 6.2882 6.2882 Å, 90.00 90.00 90.00°
Atoms (fractional coordinates):
In: 0.0000 0.0000 0.0000
Re: 0.5000 0.5000 0.5000
Au: 0.0000 0.5000 0.5000
Au: 0.5000 0.0000 0.5000
Au: 0.5000 0.5000 0.0000
Se: 0.2715 0.2715 0.2715
Se: 0.2715 0.7285 0.7285
Se: 0.7285 0.2715 0.7285
Se: 0.7285 0.7285 0.2715

The 10 most intense peaks (10° ≤ 2θ ≤ 90°), in order of falling intensity:
d (Å), intensity
2.223, 1000
3.630, 655
6.288, 433
1.284, 323
1.896, 317
3.144, 311
1.572, 163
1.406, 136
2.812, 135
1.443, 123

7.
Calculated X-ray powder pattern
Compound: LaPrCN2O2
Radiation: λ = 1.5418 Å (Cu Kα)
Structure: a crystal structure in OQMD, relaxed with GGA-PBE

Crystal structure
Cell: 3.9503 3.9503 8.3400 Å, 90.00 90.00 120.00°
Atoms (fractional coordinates):
La: 0.0000 0.0000 0.0000
Pr: 0.6667 0.3333 0.6355
C: 0.3333 0.6667 0.3177
N: 0.3333 0.6667 0.1695
N: 0.3333 0.6667 0.4658
O: 0.0000 0.0000 0.7137
O: 0.6667 0.3333 0.9205

The 10 most intense peaks (10° ≤ 2θ ≤ 90°), in order of falling intensity:
d (Å), intensity
3.165, 1000
8.340, 392
2.645, 385
1.975, 304
1.780, 240
2.157, 220
4.170, 191
1.610, 189
2.780, 162
3.421, 161

8.
Calculated X-ray powder pattern
Compound: TbDy2Al7Ag2
Radiation: λ = 1.5418 Å (Cu Kα)
Structure: a crystal structure in OQMD, relaxed with GGA-PBE

Crystal structure
Cell: 9.3440 9.3440 9.3440 Å, 34.56 34.56 34.56°
Atoms (fractional coordinates):
Tb: 0.0000 0.0000 0.0000
Dy: 0.1423 0.1423 0.1423
Dy: 0.8577 0.8577 0.8577
Al: 0.0758 0.5880 0.5880
Al: 0.4120 0.4120 0.9242
Al: 0.4120 0.9242 0.4120
Al: 0.5000 0.5000 0.5000
Al: 0.5880 0.0758 0.5880
Al: 0.5880 0.5880 0.0758
Al: 0.9242 0.4120 0.4120
Ag: 0.3358 0.3358 0.3358
Ag: 0.6642 0.6642 0.6642

The 10 most intense peaks (10° ≤ 2θ ≤ 90°), in order of falling intensity:
d (Å), intensity
2.346, 1000
2.775, 852
4.389, 374
2.962, 287
1.505, 244
2.716, 196
4.729, 193
1.484, 173
1.388, 171
3.882, 170